No. 1
Starting from the GGA-PBE geometry in Alexandria, the powder diffraction line list of Na3Bi3Pb2 was computed for a wavelength of 1.5418 Å.
Kinematic intensities with the Lorentz-polarization factor, no thermal factor.

Atomic structure:
abc: 7.1138 7.1138 15.6747
angles: 90.00 90.00 137.17
Element x y z (fractional)
Na 0.0535 0.9465 0.6197
Na 0.0535 0.9465 0.8803
Na 0.2862 0.7138 0.7500
Na 0.7138 0.2862 0.2500
Na 0.9465 0.0535 0.1197
Na 0.9465 0.0535 0.3803
Bi 0.4010 0.5990 0.2500
Bi 0.4007 0.5993 0.5603
Bi 0.4007 0.5993 0.9397
Bi 0.5993 0.4007 0.0603
Bi 0.5993 0.4007 0.4397
Bi 0.5990 0.4010 0.7500
Pb 0.2432 0.7568 0.0935
Pb 0.2432 0.7568 0.4065
Pb 0.7568 0.2432 0.5935
Pb 0.7568 0.2432 0.9065

Top 6 peaks for 2θ from 15° to 90°, in order of rising 2θ:
- 2θ 18.34, rel. 35
- 2θ 19.20, rel. 16
- 2θ 21.66, rel. 38
- 2θ 31.63, rel. 100
- 2θ 34.53, rel. 23
- 2θ 60.06, rel. 16

---

No. 2
Starting from the GGA-PBE geometry in Alexandria, the powder diffraction line list of Na2Bi4Pb5 was computed for a wavelength of 1.5418 Å.
Kinematic intensities with the Lorentz-polarization factor, no thermal factor.

Atomic structure:
abc: 6.7501 6.7501 9.6264
angles: 108.72 108.72 60.18
Element x y z (fractional)
Na 0.1060 0.1060 0.3504
Na 0.8940 0.8940 0.6496
Bi 0.1353 0.1353 0.0030
Bi 0.3888 0.3888 0.6349
Bi 0.6112 0.6112 0.3651
Bi 0.8647 0.8647 0.9970
Pb 0.0926 0.5907 0.2978
Pb 0.4093 0.9074 0.7022
Pb 0.5000 0.5000 0.0000
Pb 0.5907 0.0926 0.2978
Pb 0.9074 0.4093 0.7022

Top 6 peaks for 2θ from 15° to 90°, in order of rising 2θ:
- 2θ 26.42, rel. 78
- 2θ 29.99, rel. 91
- 2θ 30.76, rel. 100
- 2θ 33.20, rel. 78
- 2θ 33.62, rel. 49
- 2θ 34.64, rel. 53